Simulated powder XRD pattern of Na3H2OsO6 for CuKα, from a cell relaxed with PBE.
Lines closer than 0.1° are merged.

The 10 most intense peaks (5° ≤ 2θ ≤ 70°), by angle:
16.73°, 5.299 Å, I = 27.7; 17.35°, 5.111 Å, I = 38.6; 18.89°, 4.699 Å, I = 40.0; 19.23°, 4.616 Å, I = 27.2; 19.82°, 4.479 Å, I = 100.0; 25.33°, 3.516 Å, I = 18.3; 25.77°, 3.457 Å, I = 27.2; 31.17°, 2.869 Å, I = 21.9; 33.56°, 2.670 Å, I = 23.1; 35.27°, 2.545 Å, I = 28.9

Structural model:
abc: 5.819 9.398 6.032
angles: 90.00 118.55 90.00
Element x y z (fractional)
Na  0.024  0.250  0.010
Na  0.290  0.568  0.747
Na  0.290  0.932  0.747
Na  0.710  0.068  0.253
Na  0.710  0.432  0.253
Na  0.976  0.750  0.990
H  0.275  0.529  0.254
H  0.275  0.971  0.254
H  0.725  0.029  0.746
H  0.725  0.471  0.746
Os  0.398  0.250  0.610
Os  0.602  0.750  0.390
O  0.171  0.108  0.416
O  0.171  0.392  0.416
O  0.335  0.250  0.874
O  0.335  0.585  0.153
O  0.335  0.915  0.153
O  0.386  0.750  0.526
O  0.614  0.250  0.474
O  0.665  0.085  0.847
O  0.665  0.415  0.847
O  0.665  0.750  0.126
O  0.829  0.608  0.584
O  0.829  0.892  0.584